1.
Diffraction record for CaBr2. The XRD peak list is theoretical, not measured: it uses the GGA-PBE geometry in the Materials Project and λ = 1.5418 Å (Cu Kα).
Neutral-atom scattering factors, no anomalous dispersion.

Principal peaks in the range 2θ from 10° to 80°, in order of rising 2θ:
| h k l | d_spacing | I_rel |
| --- | --- | --- |
| 1 1 0 | 4.846 | 23 |
| 2 0 0 | 3.427 | 20 |
| 1 1 1 | 3.267 | 100 |
| 2 1 0 | 3.065 | 36 |
| 2 1 1 | 2.519 | 32 |
| 2 2 0 | 2.423 | 21 |
| 0 0 2 | 2.211 | 16 |
| 3 0 1 | 2.030 | 38 |
| 2 1 2 | 1.793 | 15 |
| 4 1 2 | 1.329 | 17 |

Atomic structure:
```
data_CaBr2
_symmetry_space_group_name_H-M 'P 42/m n m'
_symmetry_Int_Tables_number 136
_symmetry_space_group_name_Hall '-P 4n 2n'
_cell_length_a 6.8537
_cell_length_b 6.8537
_cell_length_c 4.4229
_cell_angle_alpha 90.00
_cell_angle_beta 90.00
_cell_angle_gamma 90.00
loop_
_atom_site_label
_atom_site_type_symbol
_atom_site_fract_x
_atom_site_fract_y
_atom_site_fract_z
Ca1 Ca 0.0000 0.0000 0.0000
Br1 Br 0.1969 0.1969 0.5000
```

---

2.
Diffraction record for Mg9Si5. The XRD peak list is theoretical, not measured: it uses the GGA-PBE geometry in the Materials Project and λ = 1.5418 Å (Cu Kα).
Neutral-atom scattering factors, no anomalous dispersion.

Principal peaks in the range 2θ from 10° to 80°, in order of rising 2θ:
| h k l | d_spacing | I_rel |
| --- | --- | --- |
| -1 1 3 | 2.916 | 31 |
| 1 2 -3 | 2.687 | 39 |
| 2 2 3 | 2.538 | 100 |
| 0 1 -5 | 2.345 | 46 |
| 3 1 0 | 2.269 | 29 |
| 2 0 -4 | 2.260 | 39 |
| 2 -1 2 | 2.214 | 54 |
| 0 3 1 | 2.184 | 34 |
| 2 3 -2 | 2.159 | 40 |
| 0 3 2 | 2.125 | 32 |

Atomic structure:
```
data_Mg9Si5
_symmetry_space_group_name_H-M 'P 1'
_symmetry_Int_Tables_number 1
_cell_length_a 6.8852
_cell_length_b 7.3589
_cell_length_c 13.0145
_cell_angle_alpha 85.35
_cell_angle_beta 89.24
_cell_angle_gamma 63.33
loop_
_symmetry_equiv_pos_as_xyz
'x,y,z'
loop_
_atom_site_label
_atom_site_type_symbol
_atom_site_fract_x
_atom_site_fract_y
_atom_site_fract_z
Mg1 Mg 0.0000 0.0000 0.0000
Mg2 Mg 0.0005 0.9096 0.3258
Mg3 Mg 0.0137 0.5510 0.4703
Mg4 Mg 0.0386 0.4589 0.2432
Mg5 Mg 0.1050 0.3930 0.8946
Mg6 Mg 0.1226 0.0459 0.7620
Mg7 Mg 0.2182 0.8305 0.5558
Mg8 Mg 0.3017 0.0260 0.1523
Mg9 Mg 0.3625 0.6505 0.8882
Mg10 Mg 0.4286 0.5648 0.2047
Mg11 Mg 0.4631 0.3993 0.6804
Mg12 Mg 0.4764 0.3208 0.4217
Mg13 Mg 0.5196 0.2567 0.0289
Mg14 Mg 0.5508 0.8222 0.3479
Mg15 Mg 0.7033 0.9753 0.8225
Mg16 Mg 0.7154 0.9273 0.5808
Mg17 Mg 0.7295 0.6193 0.0365
Mg18 Mg 0.8744 0.4803 0.6859
Si1 Si 0.0650 0.7108 0.7324
Si2 Si 0.1262 0.6018 0.0546
Si3 Si 0.1692 0.1543 0.4095
Si4 Si 0.2767 0.1829 0.5916
Si5 Si 0.3951 0.9826 0.9449
Si6 Si 0.5803 0.1463 0.2440
Si7 Si 0.6219 0.5710 0.5181
Si8 Si 0.7459 0.3257 0.8548
Si9 Si 0.8430 0.2411 0.1608
Si10 Si 0.8632 0.2117 0.5221
```